This entry pairs a crystal structure of BaNaBO3 with its simulated powder X-ray diffraction pattern. Radiation: Cu Kα. Structure: a DFT-relaxed cell (GGA-PBE, Alexandria).
Lines closer than 0.1° are merged.

Crystal structure
```
data_BaNaBO3
_cell_length_a 5.6572
_cell_length_b 5.6572
_cell_length_c 6.0823
_cell_angle_alpha 90.00
_cell_angle_beta 90.00
_cell_angle_gamma 120.00
_symmetry_space_group_name_H-M 'P 63/m m c'
_symmetry_Int_Tables_number 194
_symmetry_space_group_name_Hall '-P 6c 2c'
loop_
_atom_site_label
_atom_site_fract_x
_atom_site_fract_y
_atom_site_fract_z
Ba1 0.3333 0.6667 0.2500
Na1 0.0000 0.0000 0.0000
B1 0.3333 0.6667 0.7500
O1 0.1913 0.3826 0.7500
```

Most intense lines, 15 to 90 degrees two-theta, low angle first:
d 4.899, rel. 28, hkl 1 0 0; d 3.815, rel. 100, hkl 1 0 1; d 3.041, rel. 37, hkl 0 0 2; d 2.829, rel. 75, hkl 1 1 0; d 2.584, rel. 46, hkl 1 0 2; d 2.272, rel. 74, hkl 2 0 1; d 2.071, rel. 28, hkl 1 1 2; d 1.908, rel. 27, hkl 2 0 2; d 1.873, rel. 16, hkl 1 0 3; d 1.771, rel. 36, hkl 2 1 1; d 1.562, rel. 21, hkl 2 0 3; d 1.367, rel. 16, hkl 2 1 3

This entry pairs a crystal structure of BaNaScB2O6 with its simulated powder X-ray diffraction pattern. Radiation: Cu Kα. Structure: a DFT-relaxed cell (GGA-PBE, Alexandria).
Lines closer than 0.1° are merged.

Crystal structure
```
data_BaNaScB2O6
_cell_length_a 5.2822
_cell_length_b 5.2822
_cell_length_c 35.4456
_cell_angle_alpha 90.00
_cell_angle_beta 90.00
_cell_angle_gamma 120.00
_symmetry_space_group_name_H-M 'R -3'
_symmetry_Int_Tables_number 148
_symmetry_space_group_name_Hall '-R 3'
loop_
_atom_site_label
_atom_site_fract_x
_atom_site_fract_y
_atom_site_fract_z
Ba1 0.0000 0.0000 0.1027
Na1 0.0000 0.0000 0.3751
Sc1 0.0000 0.0000 0.0000
Sc2 0.0000 0.0000 0.5000
B1 0.0000 0.0000 0.2023
B2 0.0000 0.0000 0.2964
O1 0.0311 0.5158 0.8696
O2 0.0337 0.5643 0.3698
```

Most intense lines, 15 to 90 degrees two-theta, low angle first:
d 4.537, rel. 54, hkl 1 0 1; d 4.429, rel. 20, hkl 0 1 2; d 3.844, rel. 62, hkl 0 1 5; d 3.183, rel. 19, hkl 0 1 8; d 2.802, rel. 100, hkl 1 0 10; d 2.639, rel. 85, hkl 1 1 0; d 2.215, rel. 38, hkl 0 2 4; d 2.194, rel. 22, hkl 1 1 9; d 2.032, rel. 32, hkl 2 0 8; d 1.761, rel. 22, hkl 1 1 15; d 1.554, rel. 21, hkl 2 1 10; d 1.524, rel. 20, hkl 3 0 0

This entry pairs a crystal structure of BaNa4Ti2Si10B2O30 with its simulated powder X-ray diffraction pattern. Radiation: Cu Kα. Structure: a DFT-relaxed cell (GGA-PBE, Alexandria).
Lines closer than 0.1° are merged.

Crystal structure
```
data_BaNa4Ti2Si10B2O30
_cell_length_a 7.290
_cell_length_b 9.862
_cell_length_c 9.864
_cell_angle_alpha 119.58
_cell_angle_beta 91.88
_cell_angle_gamma 91.40
_symmetry_space_group_name_H-M 'P -1'
_symmetry_Int_Tables_number 2
_symmetry_space_group_name_Hall '-P 1'
loop_
_atom_site_label
_atom_site_fract_x
_atom_site_fract_y
_atom_site_fract_z
Ba1 0.000 0.000 0.000
Na1 0.486 0.730 0.285
Na2 0.494 0.299 0.300
Ti1 0.497 0.084 0.913
Si1 0.189 0.065 0.373
Si2 0.192 0.379 0.075
Si3 0.198 0.413 0.575
Si4 0.233 0.591 0.926
Si5 0.235 0.909 0.581
B1 0.212 0.577 0.406
O1 0.017 0.587 0.412
O2 0.031 0.665 0.931
O3 0.034 0.927 0.661
O4 0.216 0.434 0.944
O5 0.216 0.934 0.427
O6 0.268 0.235 0.520
O7 0.268 0.523 0.245
O8 0.278 0.465 0.455
O9 0.285 0.031 0.215
O10 0.291 0.218 0.032
O11 0.305 0.526 0.747
O12 0.307 0.732 0.513
O13 0.373 0.909 0.909
O14 0.378 0.718 0.053
O15 0.380 0.039 0.710
```

Most intense lines, 15 to 90 degrees two-theta, low angle first:
d 4.283, rel. 100, hkl 0 0 2; d 3.775, rel. 23, hkl 1 0 -2; d 3.615, rel. 34, hkl 1 2 0; d 3.410, rel. 51, hkl 2 -1 0; d 3.348, rel. 29, hkl 2 1 -1; d 3.291, rel. 21, hkl 2 0 1; d 3.229, rel. 25, hkl 0 3 -1; d 3.016, rel. 32, hkl -2 1 1; d 2.921, rel. 32, hkl 1 -2 3; d 2.856, rel. 31, hkl 2 1 1; d 2.491, rel. 18, hkl -2 2 1; d 2.305, rel. 19, hkl 1 2 2

This entry pairs a crystal structure of BaNaYB2O6 with its simulated powder X-ray diffraction pattern. Radiation: Cu Kα. Structure: a DFT-relaxed cell (GGA-PBE, Alexandria).
Lines closer than 0.1° are merged.

Crystal structure
```
data_BaNaYB2O6
_cell_length_a 5.3924
_cell_length_b 5.3924
_cell_length_c 36.8283
_cell_angle_alpha 90.00
_cell_angle_beta 90.00
_cell_angle_gamma 120.00
_symmetry_space_group_name_H-M 'R -3'
_symmetry_Int_Tables_number 148
_symmetry_space_group_name_Hall '-R 3'
loop_
_atom_site_label
_atom_site_fract_x
_atom_site_fract_y
_atom_site_fract_z
Ba1 0.0000 0.0000 0.1008
Na1 0.0000 0.0000 0.3787
Y1 0.0000 0.0000 0.0000
Y2 0.0000 0.0000 0.5000
B1 0.0000 0.0000 0.2052
B2 0.0000 0.0000 0.2944
O1 0.0374 0.5204 0.8723
O2 0.0424 0.5814 0.3720
```

Most intense lines, 15 to 90 degrees two-theta, low angle first:
d 4.633, rel. 34, hkl 1 0 1; d 4.527, rel. 42, hkl 0 1 2; d 3.944, rel. 38, hkl 0 1 5; d 3.278, rel. 26, hkl 0 1 8; d 2.892, rel. 100, hkl 1 0 10; d 2.721, rel. 16, hkl 0 1 11; d 2.696, rel. 62, hkl 1 1 0; d 2.082, rel. 29, hkl 2 0 8; d 1.972, rel. 23, hkl 0 2 10; d 1.713, rel. 17, hkl 0 1 20; d 1.592, rel. 22, hkl 2 1 10; d 1.275, rel. 14, hkl 1 2 20